Structure and computed PXRD pattern of Ce7Sn3Pb (a DFT-relaxed cell (PBE, Alexandria); Cu Kα (λ = 1.5418 Å)).
Peak positions follow from Bragg's law for the DFT cell and can differ from measured ones.

Structure:
```
Ce7Sn3Pb
1.0
-3.047 4.612 6.065
3.047 -4.612 6.065
3.047 4.612 -6.065
Ce Sn Pb
7 3 1
Direct
0.000 0.000 0.000
0.113 0.758 0.355
0.351 0.500 0.851
0.403 0.758 0.645
0.597 0.242 0.355
0.649 0.500 0.149
0.887 0.242 0.645
0.261 0.261 0.000
0.500 0.000 0.500
0.739 0.739 0.000
0.000 0.500 0.500
```

Principal peaks in the range 10 to 80 degrees two-theta, low angle first:
d/Å, I (rel.)
4.612, 19
3.047, 71
3.033, 68
2.980, 14
2.501, 100
2.149, 52
1.632, 28
1.628, 26
1.372, 18
1.361, 14